# Tm2MgGe2
Calculated X-ray powder pattern, Cu Kα (weighted mean of Kα1 and Kα2). Input: the PBE geometry in the Materials Project.
Intensities are scaled so that the largest is 100.

Principal peaks in the range 2θ from 5° to 70°, by angle:
2theta	Rel. int.	index
17.4	16	1 1 0
24.8	16	2 0 0
32.8	27	2 0 1
35.1	100	2 1 1
39.6	18	3 1 0
57.2	17	4 1 1

Cell and atoms:
abc: 7.1928 7.1928 4.2015
angles: 90.00 90.00 90.00
Fractional positions:
Tm (0.1771, 0.3229, 0.0000)
Tm (0.3229, 0.8229, 0.0000)
Tm (0.6771, 0.1771, 0.0000)
Tm (0.8229, 0.6771, 0.0000)
Mg (0.0000, 0.0000, 0.5000)
Mg (0.5000, 0.5000, 0.5000)
Ge (0.1245, 0.6245, 0.5000)
Ge (0.3755, 0.1245, 0.5000)
Ge (0.6245, 0.8755, 0.5000)
Ge (0.8755, 0.3755, 0.5000)